[1]
Starting from a PBE+U-relaxed structure, the X-ray diffraction stick pattern of Li2V2F7 was calculated for Cu Kα (weighted mean of Kα1 and Kα2).

Top 10 peaks for 2θ from 10° to 90°, by angle:
2θ = 16.9°, rel. 37
2θ = 17.1°, rel. 30
2θ = 18.9°, rel. 100
2θ = 24.1°, rel. 58
2θ = 26.2°, rel. 48
2θ = 29.0°, rel. 57
2θ = 39.3°, rel. 19
2θ = 40.3°, rel. 30
2θ = 42.1°, rel. 47
2θ = 45.9°, rel. 27

Atomic structure:
Cell: 7.672 7.214 10.367 Å, 90.00 90.01 90.00°
Element x y z (fractional)
Li1 0.148 0.131 0.134
Li2 0.148 0.369 0.634
Li3 0.317 0.151 0.359
Li4 0.317 0.349 0.859
Li5 0.683 0.651 0.141
Li6 0.683 0.849 0.641
Li7 0.852 0.631 0.366
Li8 0.852 0.869 0.866
V1 0.126 0.632 0.080
V2 0.126 0.868 0.580
V3 0.394 0.631 0.406
V4 0.394 0.869 0.906
V5 0.606 0.131 0.094
V6 0.606 0.369 0.594
V7 0.874 0.132 0.420
V8 0.874 0.368 0.920
F1 0.063 0.145 0.560
F2 0.063 0.355 0.060
F3 0.075 0.176 0.305
F4 0.075 0.324 0.805
F5 0.180 0.594 0.531
F6 0.180 0.906 0.031
F7 0.273 0.600 0.235
F8 0.273 0.900 0.735
F9 0.314 0.593 0.939
F10 0.314 0.907 0.439
F11 0.382 0.166 0.186
F12 0.382 0.334 0.686
F13 0.451 0.150 0.931
F14 0.451 0.350 0.431
F15 0.549 0.650 0.569
F16 0.549 0.850 0.069
F17 0.618 0.666 0.314
F18 0.618 0.834 0.814
F19 0.686 0.093 0.561
F20 0.686 0.407 0.061
F21 0.727 0.100 0.265
F22 0.727 0.400 0.765
F23 0.820 0.094 0.969
F24 0.820 0.406 0.469
F25 0.925 0.676 0.195
F26 0.925 0.824 0.695
F27 0.937 0.645 0.940
F28 0.937 0.855 0.440

---

[2]
Starting from a PBE+U-relaxed structure, the X-ray diffraction stick pattern of LiMnP3O9 was calculated for Cu Kα (weighted mean of Kα1 and Kα2).

Top 10 peaks for 2θ from 10° to 90°, by angle:
2θ = 20.0°, rel. 24
2θ = 22.5°, rel. 100
2θ = 22.8°, rel. 79
2θ = 24.9°, rel. 20
2θ = 25.2°, rel. 38
2θ = 31.9°, rel. 31
2θ = 32.3°, rel. 42
2θ = 33.0°, rel. 36
2θ = 44.8°, rel. 22
2θ = 61.4°, rel. 20

Atomic structure:
Cell: 8.566 8.784 8.887 Å, 90.00 90.00 90.00°
Element x y z (fractional)
Li1 0.153 0.136 0.386
Li2 0.347 0.864 0.886
Li3 0.653 0.364 0.614
Li4 0.847 0.636 0.114
Mn1 0.128 0.856 0.164
Mn2 0.372 0.144 0.664
Mn3 0.628 0.644 0.836
Mn4 0.872 0.356 0.336
P1 0.029 0.324 0.681
P2 0.191 0.476 0.189
P3 0.199 0.808 0.565
P4 0.301 0.192 0.065
P5 0.309 0.524 0.689
P6 0.471 0.676 0.181
P7 0.529 0.176 0.319
P8 0.691 0.024 0.811
P9 0.699 0.692 0.435
P10 0.801 0.308 0.935
P11 0.809 0.976 0.311
P12 0.971 0.824 0.819
O1 0.038 0.775 0.657
O2 0.092 0.606 0.134
O3 0.103 0.877 0.918
O4 0.127 0.381 0.317
O5 0.130 0.198 0.621
O6 0.138 0.465 0.735
O7 0.157 0.862 0.410
O8 0.194 0.095 0.159
O9 0.232 0.363 0.050
O10 0.268 0.637 0.550
O11 0.306 0.905 0.659
O12 0.343 0.138 0.910
O13 0.362 0.535 0.235
O14 0.370 0.802 0.121
O15 0.373 0.619 0.817
O16 0.397 0.123 0.418
O17 0.408 0.394 0.634
O18 0.462 0.225 0.157
O19 0.538 0.725 0.343
O20 0.592 0.894 0.866
O21 0.603 0.623 0.082
O22 0.627 0.119 0.683
O23 0.630 0.302 0.379
O24 0.638 0.035 0.265
O25 0.657 0.638 0.590
O26 0.694 0.405 0.841
O27 0.732 0.137 0.950
O28 0.768 0.863 0.450
O29 0.806 0.595 0.341
O30 0.843 0.362 0.090
O31 0.862 0.965 0.765
O32 0.870 0.698 0.879
O33 0.873 0.881 0.183
O34 0.897 0.377 0.582
O35 0.908 0.106 0.366
O36 0.962 0.275 0.843

---

[3]
Starting from a PBE+U-relaxed structure, the X-ray diffraction stick pattern of Li2Mn3GaO8 was calculated for Cu Kα (weighted mean of Kα1 and Kα2).

Top 10 peaks for 2θ from 10° to 90°, by angle:
2θ = 18.3°, rel. 100
2θ = 18.5°, rel. 75
2θ = 35.2°, rel. 26
2θ = 35.6°, rel. 31
2θ = 36.0°, rel. 24
2θ = 42.9°, rel. 65
2θ = 44.1°, rel. 30
2θ = 56.5°, rel. 13
2θ = 63.1°, rel. 19
2θ = 63.3°, rel. 19

Atomic structure:
Cell: 5.879 5.879 10.148 Å, 105.83 105.83 61.59°
Element x y z (fractional)
Li1 0.057 0.559 0.681
Li2 0.441 0.943 0.819
Li3 0.559 0.057 0.181
Li4 0.943 0.441 0.319
Mn1 0.000 0.000 0.000
Mn2 0.000 0.000 0.500
Mn3 0.000 0.500 0.000
Mn4 0.500 0.000 0.500
Mn5 0.500 0.500 0.000
Mn6 0.500 0.500 0.500
Ga1 0.252 0.748 0.250
Ga2 0.748 0.252 0.750
O1 0.091 0.153 0.885
O2 0.150 0.597 0.889
O3 0.153 0.091 0.385
O4 0.154 0.640 0.388
O5 0.350 0.404 0.115
O6 0.360 0.846 0.112
O7 0.403 0.850 0.611
O8 0.404 0.350 0.615
O9 0.596 0.650 0.385
O10 0.597 0.150 0.389
O11 0.640 0.154 0.888
O12 0.650 0.596 0.885
O13 0.846 0.360 0.612
O14 0.847 0.909 0.615
O15 0.850 0.403 0.111
O16 0.909 0.847 0.115